1.
# Ba6NaCu3Te14
Theoretical powder diffraction line list, Cu Kα (weighted mean of Kα1 and Kα2). Input: a DFT-relaxed cell (GGA-PBE, Alexandria).
Lines closer than 0.1° are merged.

Unit cell a=14.3513 b=14.3513 c=9.1300 alpha=90.00 beta=90.00 gamma=120.00
Sites, in units of the cell vectors:
1 Ba 0.2076 0.4511 0.2500
2 Ba 0.2076 0.7566 0.7500
3 Ba 0.2434 0.4511 0.7500
4 Ba 0.2434 0.7924 0.2500
5 Ba 0.4511 0.2076 0.2500
6 Ba 0.4511 0.2434 0.7500
7 Ba 0.5489 0.7566 0.2500
8 Ba 0.5489 0.7924 0.7500
9 Ba 0.7566 0.2076 0.7500
10 Ba 0.7566 0.5489 0.2500
11 Ba 0.7924 0.2434 0.2500
12 Ba 0.7924 0.5489 0.7500
13 Na 0.0000 0.0000 0.0000
14 Na 0.0000 0.0000 0.5000
15 Cu 0.0000 0.1915 0.7500
16 Cu 0.0000 0.8085 0.2500
17 Cu 0.1915 0.0000 0.7500
18 Cu 0.1915 0.1915 0.2500
19 Cu 0.8085 0.0000 0.2500
20 Cu 0.8085 0.8085 0.7500
21 Te 0.0000 0.1715 0.2500
22 Te 0.0000 0.3170 0.5257
23 Te 0.0000 0.3170 0.9743
24 Te 0.0000 0.4663 0.7500
25 Te 0.0000 0.5337 0.2500
26 Te 0.0000 0.6830 0.0257
27 Te 0.0000 0.6830 0.4743
28 Te 0.0000 0.8285 0.7500
29 Te 0.1715 0.0000 0.2500
30 Te 0.1715 0.1715 0.7500
31 Te 0.3170 0.0000 0.5257
32 Te 0.3170 0.0000 0.9743
33 Te 0.3170 0.3170 0.0257
34 Te 0.3170 0.3170 0.4743
35 Te 0.3333 0.6667 0.0000
36 Te 0.3333 0.6667 0.5000
37 Te 0.4663 0.0000 0.7500
38 Te 0.4663 0.4663 0.2500
39 Te 0.5337 0.0000 0.2500
40 Te 0.5337 0.5337 0.7500
41 Te 0.6667 0.3333 0.0000
42 Te 0.6667 0.3333 0.5000
43 Te 0.6830 0.0000 0.0257
44 Te 0.6830 0.0000 0.4743
45 Te 0.6830 0.6830 0.5257
46 Te 0.6830 0.6830 0.9743
47 Te 0.8285 0.0000 0.7500
48 Te 0.8285 0.8285 0.2500

Peak list (12 most intense, 2θ from 10° to 90°, by intensity)
| 2θ/deg | Rel. int. |
| --- | --- |
| 29.11 | 100.0 |
| 39.48 | 22.2 |
| 28.73 | 19.2 |
| 32.55 | 19.0 |
| 41.36 | 16.9 |
| 25.85 | 16.7 |
| 37.61 | 16.0 |
| 34.93 | 15.2 |
| 62.73 | 14.9 |
| 60.35 | 11.3 |
| 43.70 | 11.3 |
| 19.45 | 10.3 |

---

2.
# Pr2ThGa4
Theoretical powder diffraction line list, Cu Kα (weighted mean of Kα1 and Kα2). Input: a DFT-relaxed cell (GGA-PBE, Alexandria).
Lines closer than 0.1° are merged.

Unit cell a=9.9850 b=9.9850 c=9.9850 alpha=155.65 beta=154.70 gamma=35.40
Sites, in units of the cell vectors:
1 Pr 0.1838 0.1838 0.0000
2 Pr 0.8162 0.8162 0.0000
3 Th 0.0000 0.5000 0.5000
4 Ga 0.3599 0.3599 0.0000
5 Ga 0.4350 0.9350 0.5000
6 Ga 0.5650 0.0650 0.5000
7 Ga 0.6401 0.6401 0.0000

Peak list (12 most intense, 2θ from 10° to 90°, by intensity)
| 2θ/deg | Rel. int. |
| --- | --- |
| 30.94 | 100.0 |
| 31.16 | 56.6 |
| 35.08 | 34.6 |
| 39.46 | 29.2 |
| 25.39 | 27.2 |
| 41.28 | 24.9 |
| 54.00 | 24.2 |
| 42.95 | 22.3 |
| 28.14 | 18.6 |
| 58.43 | 18.4 |
| 61.09 | 15.6 |
| 48.17 | 13.8 |

---

3.
# PrTl4Cu3O12
Theoretical powder diffraction line list, Cu Kα (weighted mean of Kα1 and Kα2). Input: a DFT-relaxed cell (GGA-PBE, Alexandria).
Lines closer than 0.1° are merged.

Unit cell a=7.0040 b=7.0040 c=7.0040 alpha=109.47 beta=109.47 gamma=109.47
Sites, in units of the cell vectors:
1 Pr 0.0000 0.0000 0.0000
2 Tl 0.0000 0.0000 0.5000
3 Tl 0.0000 0.5000 0.0000
4 Tl 0.5000 0.0000 0.0000
5 Tl 0.5000 0.5000 0.5000
6 Cu 0.0000 0.5000 0.5000
7 Cu 0.5000 0.0000 0.5000
8 Cu 0.5000 0.5000 0.0000
9 O 0.1492 0.4681 0.3188
10 O 0.1492 0.8304 0.6812
11 O 0.1696 0.3188 0.8508
12 O 0.3188 0.1492 0.4681
13 O 0.3188 0.8508 0.1696
14 O 0.4681 0.3188 0.1492
15 O 0.5319 0.6812 0.8508
16 O 0.6812 0.1492 0.8304
17 O 0.6812 0.8508 0.5319
18 O 0.8304 0.6812 0.1492
19 O 0.8508 0.1696 0.3188
20 O 0.8508 0.5319 0.6812

Peak list (12 most intense, 2θ from 10° to 90°, by intensity)
| 2θ/deg | Rel. int. |
| --- | --- |
| 31.28 | 100.0 |
| 55.68 | 46.4 |
| 44.83 | 20.5 |
| 21.98 | 19.1 |
| 74.15 | 18.3 |
| 65.26 | 12.4 |
| 50.47 | 11.0 |
| 38.56 | 5.4 |
| 82.66 | 4.8 |
| 69.77 | 3.7 |
| 78.44 | 3.1 |
| 35.09 | 2.6 |